Theoretical powder X-ray diffraction pattern
Compound: K2SnS3
Radiation: Cu Kα (weighted mean of Kα1 and Kα2)
Structure: a GGA-PBE-relaxed structure
Intensities are scaled so that the largest is 100.

Peak list (8 most intense, 2θ from 10° to 90°, sorted by position)
d [Å]  2theta  I (rel.)  (hkl)
6.881  12.86  100.0  0 1 0
6.118  14.48  37.2  1 0 0
5.634  15.73  63.9  1 1 0
5.476  16.19  38.4  1 1 1
5.433  16.32  77.9  1 0 1
3.359  26.54  96.4  2 1 1
2.124  42.56  42.1  0 3 -1
1.972  46.03  41.2  2 1 4

Crystal structure
abc: 6.783 7.543 8.398
angles: 76.30 73.83 67.24
Space group P-1 (No. 2)
Unique sites:
K  0.098  0.210  0.117 x2
K  0.350  0.540  0.308 x2
Sn  0.351  0.065  0.690 x2
S  0.156  0.395  0.718 x2
S  0.272  0.957  0.462 x2
S  0.362  0.819  0.925 x2